Starting from DFT lattice parameters and positions (GGA-PBE), the X-ray diffraction stick pattern of PrSm3Tm4 was calculated for CuKα.
No peak broadening, texture or thermal motion is included.

Crystal structure
Lattice parameters (Å, degrees): 6.1899 3.5772 11.7333 90.00 100.19 90.00
Positions (direct):
1 Pr 0.0000 0.0000 0.0000
2 Sm 0.0000 0.5000 0.5000
3 Sm 0.5000 0.0000 0.5000
4 Sm 0.5000 0.5000 0.0000
5 Tm 0.2497 0.0000 0.7491
6 Tm 0.2509 0.5000 0.2511
7 Tm 0.7491 0.5000 0.7489
8 Tm 0.7503 0.0000 0.2509

Largest 10 diffraction maxima, in order of rising 2θ, 15° ≤ 2θ ≤ 90°:
| two_theta | I_rel |
| --- | --- |
| 30.66 | 100.0 |
| 30.98 | 32.5 |
| 35.64 | 67.0 |
| 51.09 | 24.2 |
| 51.50 | 23.6 |
| 60.77 | 14.4 |
| 60.96 | 28.5 |
| 61.32 | 14.0 |
| 63.85 | 12.4 |
| 83.32 | 11.9 |



Starting from DFT lattice parameters and positions (GGA-PBE), the X-ray diffraction stick pattern of Pr12Sm5Tm2 was calculated for CuKα.
No peak broadening, texture or thermal motion is included.

Crystal structure
Lattice parameters (Å, degrees): 9.4075 9.4075 8.1428 93.12 93.12 69.87
Positions (direct):
1 Pr 0.0533 0.0533 0.2109
2 Pr 0.0903 0.5405 0.7072
3 Pr 0.1197 0.6674 0.1146
4 Pr 0.3326 0.8803 0.8854
5 Pr 0.3719 0.3719 0.3989
6 Pr 0.4595 0.9097 0.2928
7 Pr 0.5405 0.0903 0.7072
8 Pr 0.6281 0.6281 0.6011
9 Pr 0.6674 0.1197 0.1146
10 Pr 0.8803 0.3326 0.8854
11 Pr 0.9097 0.4595 0.2928
12 Pr 0.9467 0.9467 0.7891
13 Sm 0.1569 0.1569 0.5916
14 Sm 0.2585 0.2585 0.0175
15 Sm 0.5000 0.5000 0.0000
16 Sm 0.7415 0.7415 0.9825
17 Sm 0.8431 0.8431 0.4084
18 Tm 0.2288 0.7712 0.5000
19 Tm 0.7712 0.2288 0.5000

Largest 10 diffraction maxima, in order of rising 2θ, 15° ≤ 2θ ≤ 90°:
| two_theta | I_rel |
| --- | --- |
| 30.03 | 100.0 |
| 30.47 | 79.6 |
| 33.26 | 35.6 |
| 34.37 | 29.7 |
| 37.46 | 21.4 |
| 48.57 | 18.7 |
| 50.95 | 13.9 |
| 57.44 | 11.4 |
| 58.64 | 12.3 |
| 59.41 | 14.0 |



Starting from DFT lattice parameters and positions (GGA-PBE), the X-ray diffraction stick pattern of Pr5Sm2Tm3 was calculated for CuKα.
No peak broadening, texture or thermal motion is included.

Crystal structure
Lattice parameters (Å, degrees): 9.2496 9.2496 10.0701 108.32 108.32 108.25
Positions (direct):
1 Pr 0.0220 0.9780 0.7500
2 Pr 0.1264 0.3676 0.7457
3 Pr 0.2302 0.7698 0.7500
4 Pr 0.2711 0.7289 0.2500
5 Pr 0.3676 0.1264 0.2457
6 Pr 0.6324 0.8736 0.7543
7 Pr 0.7289 0.2711 0.7500
8 Pr 0.7698 0.2302 0.2500
9 Pr 0.8736 0.6324 0.2543
10 Pr 0.9780 0.0220 0.2500
11 Sm 0.2263 0.4680 0.4427
12 Sm 0.4680 0.2263 0.9427
13 Sm 0.5320 0.7737 0.0573
14 Sm 0.7737 0.5320 0.5573
15 Tm 0.0333 0.2805 0.0570
16 Tm 0.2805 0.0333 0.5570
17 Tm 0.4781 0.5219 0.2500
18 Tm 0.5219 0.4781 0.7500
19 Tm 0.7195 0.9667 0.4430
20 Tm 0.9667 0.7195 0.9430

Largest 10 diffraction maxima, in order of rising 2θ, 15° ≤ 2θ ≤ 90°:
| two_theta | I_rel |
| --- | --- |
| 29.24 | 93.8 |
| 30.86 | 100.0 |
| 31.84 | 22.2 |
| 33.05 | 46.2 |
| 33.82 | 17.8 |
| 35.76 | 24.8 |
| 48.59 | 31.7 |
| 57.67 | 17.0 |
| 60.02 | 33.6 |
| 68.61 | 17.0 |



Starting from DFT lattice parameters and positions (GGA-PBE), the X-ray diffraction stick pattern of Pr2Sm2Tm was calculated for CuKα.
No peak broadening, texture or thermal motion is included.

Crystal structure
Lattice parameters (Å, degrees): 16.6027 16.6027 16.6027 167.43 159.82 23.84
Positions (direct):
1 Pr 0.0440 0.2940 0.7500
2 Pr 0.4397 0.1897 0.2500
3 Pr 0.5603 0.8103 0.7500
4 Pr 0.9560 0.7060 0.2500
5 Sm 0.1329 0.8829 0.2500
6 Sm 0.2297 0.9797 0.2500
7 Sm 0.7703 0.0203 0.7500
8 Sm 0.8671 0.1171 0.7500
9 Tm 0.3263 0.5763 0.7500
10 Tm 0.6737 0.4237 0.2500

Largest 10 diffraction maxima, in order of rising 2θ, 15° ≤ 2θ ≤ 90°:
| two_theta | I_rel |
| --- | --- |
| 27.45 | 17.1 |
| 29.11 | 28.1 |
| 30.74 | 51.6 |
| 31.03 | 100.0 |
| 31.26 | 26.4 |
| 33.45 | 17.6 |
| 34.04 | 35.3 |
| 44.41 | 20.0 |
| 54.83 | 20.2 |
| 62.05 | 15.4 |



Starting from DFT lattice parameters and positions (GGA-PBE), the X-ray diffraction stick pattern of Pr4Sm2Tm7 was calculated for CuKα.
No peak broadening, texture or thermal motion is included.

Crystal structure
Lattice parameters (Å, degrees): 6.1660 8.0160 9.4801 94.85 108.89 105.01
Positions (direct):
1 Pr 0.0393 0.0769 0.1961
2 Pr 0.2714 0.5415 0.3486
3 Pr 0.7286 0.4585 0.6514
4 Pr 0.9607 0.9231 0.8039
5 Sm 0.1928 0.3849 0.9600
6 Sm 0.8072 0.6151 0.0400
7 Tm 0.1153 0.2286 0.5771
8 Tm 0.3481 0.6952 0.7317
9 Tm 0.4234 0.8482 0.1155
10 Tm 0.5000 0.0000 0.5000
11 Tm 0.5766 0.1518 0.8845
12 Tm 0.6519 0.3048 0.2683
13 Tm 0.8847 0.7714 0.4229

Largest 10 diffraction maxima, in order of rising 2θ, 15° ≤ 2θ ≤ 90°:
| two_theta | I_rel |
| --- | --- |
| 30.54 | 100.0 |
| 30.67 | 98.9 |
| 35.43 | 67.5 |
| 35.61 | 33.3 |
| 50.98 | 48.1 |
| 51.18 | 11.9 |
| 51.28 | 11.8 |
| 60.55 | 28.7 |
| 60.68 | 21.4 |
| 60.78 | 21.3 |



Starting from DFT lattice parameters and positions (GGA-PBE), the X-ray diffraction stick pattern of Pr4Sm3Tm8 was calculated for CuKα.
No peak broadening, texture or thermal motion is included.

Crystal structure
Lattice parameters (Å, degrees): 12.4863 12.4863 12.4863 32.42 32.42 32.42
Positions (direct):
1 Pr 0.0000 0.0000 0.0000
2 Pr 0.1636 0.1636 0.1636
3 Pr 0.5000 0.5000 0.5000
4 Pr 0.8364 0.8364 0.8364
5 Sm 0.0000 0.5000 0.5000
6 Sm 0.5000 0.0000 0.5000
7 Sm 0.5000 0.5000 0.0000
8 Tm 0.2500 0.2500 0.7482
9 Tm 0.2500 0.7482 0.2500
10 Tm 0.2518 0.7500 0.7500
11 Tm 0.2550 0.2550 0.2550
12 Tm 0.7450 0.7450 0.7450
13 Tm 0.7482 0.2500 0.2500
14 Tm 0.7500 0.2518 0.7500
15 Tm 0.7500 0.7500 0.2518

Largest 10 diffraction maxima, in order of rising 2θ, 15° ≤ 2θ ≤ 90°:
| two_theta | I_rel |
| --- | --- |
| 29.73 | 21.8 |
| 30.03 | 16.7 |
| 30.25 | 54.0 |
| 31.31 | 100.0 |
| 36.00 | 72.6 |
| 51.13 | 23.2 |
| 52.51 | 35.8 |
| 60.57 | 16.3 |
| 61.81 | 42.7 |
| 86.33 | 16.7 |